Computed powder diffractogram of PmMnCo2O8 for a wavelength of 1.5418 Å, from a PBE+U-relaxed structure.
Kinematic intensities with the Lorentz-polarization factor, no thermal factor.

The 10 most intense peaks (10° ≤ 2θ ≤ 80°), by angle:
2θ = 17.65°, intensity 12
2θ = 18.83°, intensity 19
2θ = 25.06°, intensity 100
2θ = 33.59°, intensity 61
2θ = 35.74°, intensity 19
2θ = 49.86°, intensity 56
2θ = 51.44°, intensity 15
2θ = 58.05°, intensity 11
2θ = 62.85°, intensity 18
2θ = 74.45°, intensity 11

Structure:
```
PmMnCo2O8
1.0
-3.553 3.553 3.148
3.553 -3.553 3.148
3.553 3.553 -3.148
Pm Mn Co O
1 1 2 8
Direct
0.000 0.000 0.000
0.250 0.750 0.500
0.500 0.500 0.000
0.750 0.250 0.500
0.323 0.138 0.815
0.323 0.508 0.185
0.390 0.061 0.329
0.492 0.677 0.815
0.732 0.061 0.671
0.862 0.677 0.185
0.939 0.268 0.329
0.939 0.610 0.671
```